[1]
Simulated powder diffraction line list
Compound: NaGa12Ir4
Radiation: Cu Kα X-rays
Structure: a crystal structure in Alexandria, relaxed with GGA-PBE
Lines closer than 0.1° are merged.

Most intense lines, 10 to 90 degrees two-theta, by angle:
18.4 deg, I 1000
26.1 deg, I 192
37.2 deg, I 451
41.8 deg, I 498
46.0 deg, I 87
53.7 deg, I 312
57.2 deg, I 248
67.2 deg, I 105
70.3 deg, I 107
73.4 deg, I 46
79.4 deg, I 49
82.3 deg, I 141

Cell and atoms:
```
data_NaGa12Ir4
_chemical_formula_sum 'Na2 Ga24 Ir8'
_cell_length_a 9.6569
_cell_length_b 9.6569
_cell_length_c 9.6569
_cell_angle_alpha 90.00
_cell_angle_beta 90.00
_cell_angle_gamma 90.00
_space_group_name_H-M_alt 'I m -3 m'
_space_group_IT_number 229
_space_group_name_Hall '-I 4 2 3'
loop_
_atom_site_label
_atom_site_fract_x
_atom_site_fract_y
_atom_site_fract_z
_atom_site_occupancy
Na1 0.0000 0.0000 0.0000 1
Ga1 0.0000 0.2519 0.2519 1
Ir1 0.2500 0.2500 0.2500 1
```



[2]
Simulated powder diffraction line list
Compound: TlOsCl
Radiation: Cu Kα X-rays
Structure: a crystal structure in Alexandria, relaxed with GGA-PBE
Lines closer than 0.1° are merged.

Most intense lines, 10 to 90 degrees two-theta, by angle:
11.9 deg, I 502
24.0 deg, I 203
31.3 deg, I 148
33.6 deg, I 1000
36.3 deg, I 166
39.8 deg, I 556
48.7 deg, I 184
55.6 deg, I 211
59.4 deg, I 192
66.6 deg, I 141
68.3 deg, I 166
70.6 deg, I 106

Cell and atoms:
```
data_TlOsCl
_chemical_formula_sum 'Tl1 Os1 Cl1'
_cell_length_a 3.3041
_cell_length_b 3.3041
_cell_length_c 7.4165
_cell_angle_alpha 90.00
_cell_angle_beta 90.00
_cell_angle_gamma 120.00
_space_group_name_H-M_alt 'P 3 m 1'
_space_group_IT_number 156
loop_
_space_group_symop_operation_xyz
'x,y,z'
'-y,x-y,z'
'-x+y,-x,z'
'-y,-x,z'
'-x+y,y,z'
'x,x-y,z'
loop_
_atom_site_label
_atom_site_fract_x
_atom_site_fract_y
_atom_site_fract_z
_atom_site_occupancy
Tl1 0.0000 0.0000 0.0000 1
Os1 0.3333 0.6667 0.6587 1
Cl1 0.6667 0.3333 0.4848 1
```



[3]
Simulated powder diffraction line list
Compound: KNpSe4
Radiation: Cu Kα X-rays
Structure: a crystal structure in Alexandria, relaxed with GGA-PBE
Lines closer than 0.1° are merged.

Most intense lines, 10 to 90 degrees two-theta, by angle:
10.5 deg, I 1000
20.0 deg, I 124
22.6 deg, I 211
29.3 deg, I 733
30.4 deg, I 135
33.6 deg, I 377
35.7 deg, I 309
38.0 deg, I 212
45.6 deg, I 302
47.0 deg, I 166
63.2 deg, I 152
64.6 deg, I 126

Cell and atoms:
```
data_KNpSe4
_chemical_formula_sum 'K2 Np2 Se8'
_cell_length_a 6.2890
_cell_length_b 6.2890
_cell_length_c 8.3905
_cell_angle_alpha 90.00
_cell_angle_beta 90.00
_cell_angle_gamma 90.00
_space_group_name_H-M_alt 'P 4/n b m'
_space_group_IT_number 125
loop_
_space_group_symop_operation_xyz
'x,y,z'
'-x,-y,-z'
'-y+1/2,x,z'
'y+1/2,-x,-z'
'-x+1/2,-y+1/2,z'
'x+1/2,y+1/2,-z'
'y,-x+1/2,z'
'-y,x+1/2,-z'
'x,-y+1/2,-z'
'-x,y+1/2,z'
'-y+1/2,-x+1/2,-z'
'y+1/2,x+1/2,z'
'-x+1/2,y,-z'
'x+1/2,-y,z'
'y,x,-z'
'-y,-x,z'
loop_
_atom_site_label
_atom_site_fract_x
_atom_site_fract_y
_atom_site_fract_z
_atom_site_occupancy
K1 0.2500 0.2500 0.0000 1
Np1 0.2500 0.2500 0.5000 1
Se1 0.1101 0.6101 0.2958 1
```